Structure and theoretical powder XRD pattern of NaV2O4 (a DFT-relaxed cell (GGA+U, Alexandria); Cu Ka).
Intensities are scaled so that the largest is 100.

Main lines, by angle (2θ = 10–80°):
2θ (°)	Rel. int.
15.44	100
34.43	12
37.93	23
47.12	27
47.83	13
60.01	11

Crystal structure
abc: 6.0686 5.0796 12.9785
angles: 90.00 117.84 90.00
Positions (direct):
Na 0.0000 0.0272 0.2500
Na 0.0000 0.9728 0.7500
Na 0.5000 0.3470 0.7500
Na 0.5000 0.6530 0.2500
V 0.0000 0.5000 0.0000
V 0.0000 0.5000 0.5000
V 0.2584 0.0109 0.0083
V 0.2584 0.9891 0.5083
V 0.5000 0.5000 0.0000
V 0.5000 0.5000 0.5000
V 0.7416 0.0109 0.4917
V 0.7416 0.9891 0.9917
O 0.0889 0.1592 0.5929
O 0.0889 0.8408 0.0929
O 0.1669 0.3147 0.4168
O 0.1669 0.6853 0.9168
O 0.3447 0.3231 0.0948
O 0.3447 0.6769 0.5948
O 0.4033 0.1589 0.9070
O 0.4033 0.8411 0.4070
O 0.5967 0.1589 0.5930
O 0.5967 0.8411 0.0930
O 0.6553 0.3231 0.4052
O 0.6553 0.6769 0.9052
O 0.8331 0.3147 0.0832
O 0.8331 0.6853 0.5832
O 0.9111 0.1592 0.9071
O 0.9111 0.8408 0.4071